Diffraction record for Y2Ho2BI5. The PXRD pattern is computed, not measured: it uses the GGA-PBE geometry in OQMD and Cu Kα (weighted mean of Kα1 and Kα2).
No peak broadening, texture or thermal motion is included.

Most intense lines, 2θ = 10–90°, low angle first:
2θ (°)  intensity
22.5  19
27.2  16
28.8  53
29.6  16
30.2  100
32.7  30
42.1  32
42.4  31
44.8  20
54.2  19

Atomic structure:
```
data_Y2Ho2BI5
_chemical_formula_sum 'Y2 Ho2 B1 I5'
_cell_length_a 9.7365
_cell_length_b 9.7365
_cell_length_c 8.6528
_cell_angle_alpha 102.36
_cell_angle_beta 102.36
_cell_angle_gamma 23.98
_symmetry_space_group_name_H-M 'P 1'
_symmetry_Int_Tables_number 1
loop_
_symmetry_equiv_pos_as_xyz
'x,y,z'
loop_
_atom_site_label
_atom_site_type_symbol
_atom_site_fract_x
_atom_site_fract_y
_atom_site_fract_z
Y1 Y 0.1350 0.1350 0.0681
Y2 Y 0.8650 0.8650 0.9319
Ho1 Ho 0.4994 0.4994 0.1936
Ho2 Ho 0.5006 0.5006 0.8064
B1 B 0.0000 0.0000 0.0000
I1 I 0.0000 0.0000 0.5000
I2 I 0.3298 0.3298 0.1771
I3 I 0.3357 0.3357 0.6580
I4 I 0.6643 0.6643 0.3420
I5 I 0.6702 0.6702 0.8229
```